Starting from a DFT-relaxed cell (GGA+U, the Materials Project), the powder diffractogram of MgCo6O9F3 was simulated for Cu Ka.
Lines closer than 0.1° are merged.

Most intense lines, 2θ = 10–90°, most intense first:
(1 -1 0), 3.805 Å, 23.38 deg, I = 100; (1 1 0), 3.109 Å, 28.72 deg, I = 90; (0 1 -3), 2.462 Å, 36.50 deg, I = 72; (-2 1 3), 1.817 Å, 50.22 deg, I = 31; (2 1 3), 1.637 Å, 56.20 deg, I = 26; (2 1 -3), 1.642 Å, 56.02 deg, I = 25; (1 -1 3), 2.287 Å, 39.39 deg, I = 23; (0 3 -3), 1.401 Å, 66.79 deg, I = 22

Cell: 4.910 4.916 8.587 Å, 90.03 90.19 101.49°
Element x y z (fractional)
Mg 0.000 0.000 0.000
Co 0.073 0.366 0.501
Co 0.493 0.935 0.005
Co 0.493 0.943 0.340
Co 0.503 0.931 0.671
Co 0.904 0.517 0.182
Co 0.940 0.494 0.826
O 0.159 0.653 0.003
O 0.189 0.631 0.338
O 0.195 0.628 0.668
O 0.316 0.119 0.502
O 0.683 0.793 0.165
O 0.687 0.793 0.850
O 0.768 0.276 0.005
O 0.798 0.249 0.341
O 0.811 0.246 0.668
F 0.294 0.119 0.155
F 0.303 0.115 0.847
F 0.680 0.757 0.510